Structure and calculated powder XRD pattern of Tl6Hg23Br (a DFT-relaxed cell (GGA-PBE, Alexandria); CuKα).
Intensities are scaled so that the largest is 100.

The 10 most intense peaks (5° ≤ 2θ ≤ 70°), sorted by position:
2θ 28.91, 3.088 Å, I = 7.1; 2θ 30.71, 2.912 Å, I = 24.6; 2θ 33.51, 2.674 Å, I = 100.0; 2θ 35.09, 2.557 Å, I = 11.4; 2θ 37.60, 2.392 Å, I = 7.3; 2θ 48.11, 1.891 Å, I = 10.8; 2θ 55.32, 1.661 Å, I = 7.6; 2θ 58.17, 1.586 Å, I = 9.6; 2θ 59.90, 1.544 Å, I = 23.7; 2θ 60.93, 1.521 Å, I = 8.6

Structure:
a b c (Å): 10.698 10.698 10.698
angles (deg): 60.00 60.00 60.00
Positions (direct):
Tl1 0.227 0.227 0.773
Tl2 0.227 0.773 0.227
Tl3 0.227 0.773 0.773
Tl4 0.773 0.227 0.227
Tl5 0.773 0.227 0.773
Tl6 0.773 0.773 0.227
Hg1 0.000 0.000 0.500
Hg2 0.000 0.500 0.000
Hg3 0.000 0.500 0.500
Hg4 0.138 0.621 0.621
Hg5 0.161 0.161 0.161
Hg6 0.161 0.161 0.517
Hg7 0.161 0.517 0.161
Hg8 0.379 0.379 0.379
Hg9 0.379 0.379 0.862
Hg10 0.379 0.862 0.379
Hg11 0.483 0.839 0.839
Hg12 0.500 0.000 0.000
Hg13 0.500 0.000 0.500
Hg14 0.500 0.500 0.000
Hg15 0.500 0.500 0.500
Hg16 0.517 0.161 0.161
Hg17 0.621 0.138 0.621
Hg18 0.621 0.621 0.138
Hg19 0.621 0.621 0.621
Hg20 0.839 0.483 0.839
Hg21 0.839 0.839 0.483
Hg22 0.839 0.839 0.839
Hg23 0.862 0.379 0.379
Br1 0.000 0.000 0.000